K2LuSbO7: theoretical X-ray diffraction stick pattern (Cu Kα X-rays), based on a PBE-relaxed structure.
Intensities are scaled so that the largest is 100.

Cell and atoms:
```
K2LuSbO7
1.0
-3.969 5.675 4.136
3.969 -5.675 4.136
3.969 5.675 -4.136
K Lu Sb O
4 2 2 14
direct
0.000 0.000 0.000 K
0.500 0.000 0.000 K
0.500 0.000 0.500 K
0.500 0.500 0.500 K
0.000 0.000 0.500 Lu
0.000 0.500 0.000 Lu
0.000 0.500 0.500 Sb
0.500 0.500 0.000 Sb
0.040 0.249 0.435 O
0.040 0.606 0.792 O
0.108 0.858 0.250 O
0.293 0.707 0.586 O
0.314 0.249 0.708 O
0.314 0.606 0.065 O
0.380 0.293 0.086 O
0.620 0.707 0.914 O
0.686 0.394 0.935 O
0.686 0.751 0.292 O
0.707 0.293 0.414 O
0.892 0.142 0.750 O
0.960 0.394 0.208 O
0.960 0.751 0.565 O
```

The 12 most intense peaks (10 to 90 degrees two-theta), in order of falling intensity:
2θ (°)  I/Imax
26.67  100
27.42  91
13.24  77
44.97  57
31.23  48
53.70  39
52.43  34
26.11  33
15.47  29
22.05  23
53.26  22
31.53  22